[1]
# Sm3Al2O8
Computed PXRD pattern, Cu Kα, 1.54184 Å. Input: a DFT-relaxed cell (PBE, Alexandria).
No peak broadening, texture or thermal motion is included.

Peak list (12 most intense, 15 to 90 degrees two-theta, in order of falling intensity)
2theta	intensity	hkl
32.07	1000	1 1 0
30.10	925	0 1 5
18.96	497	1 0 1
44.56	436	2 0 5
55.95	355	1 2 5
52.18	277	1 0 10
43.41	238	1 1 6
57.16	234	3 0 0
72.06	198	2 1 10
67.07	178	2 2 0
26.44	147	1 0 4
75.24	145	3 1 5

Structural model:
Cell: 5.5818 5.5818 18.8101 Å, 90.00 90.00 120.00°
Space group R-3m (No. 166, hexagonal axes)
Symmetry-distinct sites (fractional):
Sm 0.0000 0.0000 0.0000 [3 per cell]
Sm 0.0000 0.0000 0.1976 [6 per cell]
Al 0.0000 0.0000 0.4071 [6 per cell]
O 0.0000 0.0000 0.3144 [6 per cell]
O 0.0131 0.5065 0.7689 [18 per cell]



[2]
# Sm4Al2O
Computed PXRD pattern, Cu Kα, 1.54184 Å. Input: a DFT-relaxed cell (PBE, Alexandria).
No peak broadening, texture or thermal motion is included.

Peak list (12 most intense, 15 to 90 degrees two-theta, in order of falling intensity)
2theta	intensity	hkl
28.92	1000	1 1 2
34.80	573	1 1 4
38.13	510	2 0 0
51.38	378	2 0 6
25.04	372	1 0 3
33.12	329	0 0 6
63.35	221	3 1 2
52.81	190	1 1 8
33.51	184	1 0 5
65.75	179	2 2 6
19.59	179	1 0 1
66.77	175	3 1 4

Structural model:
Cell: 4.720 4.720 16.228 Å, 90.00 90.00 90.00°
Space group I4/mmm (No. 139)
Symmetry-distinct sites (fractional):
Sm 0.000 0.000 0.173 [4 per cell]
Sm 0.000 0.500 0.000 [4 per cell]
Al 0.000 0.000 0.365 [4 per cell]
O 0.000 0.000 0.000 [2 per cell]



[3]
# SrSmAlO4
Computed PXRD pattern, Cu Kα, 1.54184 Å. Input: a DFT-relaxed cell (PBE, Alexandria).
No peak broadening, texture or thermal motion is included.

Peak list (12 most intense, 15 to 90 degrees two-theta, in order of falling intensity)
2theta	intensity	hkl
32.26	1000	1 0 3
33.81	714	1 1 0
24.81	576	1 0 1
45.03	513	1 1 4
48.57	382	2 0 0
59.51	368	2 1 3
43.86	261	0 0 6
28.86	233	0 0 4
67.50	203	2 0 6
57.64	167	1 0 7
56.53	157	1 1 6
57.48	140	2 0 4

Structural model:
Cell: 3.749 3.749 12.376 Å, 90.00 90.00 90.00°
Space group I4mm (No. 107)
Symmetry-distinct sites (fractional):
Sr 0.000 0.000 0.000 [2 per cell]
Sm 0.000 0.000 0.285 [2 per cell]
Al 0.000 0.000 0.642 [2 per cell]
O 0.000 0.000 0.477 [2 per cell]
O 0.000 0.000 0.806 [2 per cell]
O 0.000 0.500 0.152 [4 per cell]



[4]
# SrSmAl3O7
Computed PXRD pattern, Cu Kα, 1.54184 Å. Input: a DFT-relaxed cell (PBE, Alexandria).
No peak broadening, texture or thermal motion is included.

Peak list (12 most intense, 15 to 90 degrees two-theta, in order of falling intensity)
2theta	intensity	hkl
30.66	1000	3 1 1
30.51	840	1 3 1
28.36	384	2 2 1
23.32	369	0 2 1
50.71	350	4 2 2
17.02	333	0 0 1
15.81	284	0 2 0
59.31	272	3 1 3
43.21	266	3 1 2
25.31	201	3 1 0
34.43	173	0 0 2
43.10	173	1 3 2

Structural model:
Cell: 11.119 11.213 5.210 Å, 90.00 90.00 90.00°
Space group Cmm2 (No. 35)
Symmetry-distinct sites (fractional):
Sr 0.000 0.162 0.000 [4 per cell]
Sm 0.160 0.500 0.973 [4 per cell]
Al 0.000 0.359 0.451 [4 per cell]
Al 0.147 0.000 0.528 [4 per cell]
Al 0.250 0.250 0.495 [4 per cell]
O 0.000 0.000 0.648 [2 per cell]
O 0.000 0.372 0.787 [4 per cell]
O 0.000 0.500 0.293 [2 per cell]
O 0.126 0.290 0.304 [8 per cell]
O 0.157 0.000 0.195 [4 per cell]
O 0.218 0.123 0.690 [8 per cell]